The following is a computed PXRD pattern of CoB4O7. It was derived from a cell relaxed with GGA+U, using Cu Kα (λ = 1.5418 Å).

Structural model:
```
data_CoB4O7
_chemical_formula_sum 'Co4 B16 O28'
_space_group_name_H-M_alt 'C m c m'
_space_group_IT_number 63
_space_group_name_Hall '-C 2c 2'
_cell_length_a 10.941
_cell_length_b 6.530
_cell_length_c 5.216
_cell_angle_alpha 90.00
_cell_angle_beta 90.00
_cell_angle_gamma 90.00
loop_
_atom_site_label
_atom_site_fract_x
_atom_site_fract_y
_atom_site_fract_z
Co1 0.000 0.242 0.250
B1 0.117 0.192 0.750
B2 0.203 0.500 0.000
O1 0.000 0.079 0.750
O2 0.128 0.317 0.523
O3 0.220 0.025 0.750
```

Top 10 peaks for 5° ≤ 2θ ≤ 70°, in order of rising 2θ:
2θ = 23.29°, I = 513, (1 1 1)
2θ = 27.32°, I = 290, (0 2 0)
2θ = 31.92°, I = 954, (2 2 0)
2θ = 32.96°, I = 1000, (3 1 1)
2θ = 38.06°, I = 314, (1 1 2)
2θ = 45.94°, I = 378, (1 3 1)
2θ = 47.14°, I = 301, (5 1 1)
2θ = 47.62°, I = 325, (2 2 2)
2θ = 48.22°, I = 586, (4 0 2)
2θ = 51.97°, I = 270, (3 3 1)

***

The following is a computed PXRD pattern of Co2B2O5. It was derived from a cell relaxed with GGA+U, using Cu Kα (λ = 1.5418 Å).

Structural model:
```
data_Co2B2O5
_chemical_formula_sum 'Co4 B4 O10'
_space_group_name_H-M_alt 'P -1'
_space_group_IT_number 2
_cell_length_a 3.192
_cell_length_b 6.218
_cell_length_c 9.342
_cell_angle_alpha 104.32
_cell_angle_beta 90.64
_cell_angle_gamma 91.98
loop_
_space_group_symop_operation_xyz
'x,y,z'
'-x,-y,-z'
loop_
_atom_site_label
_atom_site_fract_x
_atom_site_fract_y
_atom_site_fract_z
Co1 0.229 0.213 0.359
Co2 0.263 0.627 0.898
B1 0.166 0.120 0.831
B2 0.198 0.682 0.355
O1 0.060 0.859 0.298
O2 0.238 0.303 0.946
O3 0.239 0.476 0.258
O4 0.272 0.724 0.502
O5 0.283 0.908 0.819
```

Top 10 peaks for 5° ≤ 2θ ≤ 70°, in order of rising 2θ:
2θ = 19.63°, I = 1000, (0 1 1)
2θ = 29.66°, I = 438, (0 2 0)
2θ = 31.35°, I = 401, (0 2 -2)
2θ = 34.06°, I = 947, (1 0 -2)
2θ = 34.74°, I = 555, (1 0 2)
2θ = 36.55°, I = 186, (0 2 -3)
2θ = 39.86°, I = 179, (0 0 4)
2θ = 44.63°, I = 369, (0 3 -2)
2θ = 45.81°, I = 286, (-1 1 3)
2θ = 47.35°, I = 253, (1 1 3)

***

The following is a computed PXRD pattern of CoB2O4. It was derived from a cell relaxed with GGA+U, using Cu Kα (λ = 1.5418 Å).

Structural model:
```
data_CoB2O4
_chemical_formula_sum 'Co4 B8 O16'
_space_group_name_H-M_alt 'C 1 2/c 1'
_space_group_IT_number 15
_cell_length_a 9.441
_cell_length_b 5.677
_cell_length_c 4.456
_cell_angle_alpha 90.00
_cell_angle_beta 108.07
_cell_angle_gamma 90.00
loop_
_space_group_symop_operation_xyz
'x,y,z'
'-x,-y,-z'
'-x,y,-z+1/2'
'x,-y,z+1/2'
'x+1/2,y+1/2,z'
'-x+1/2,-y+1/2,-z'
'-x+1/2,y+1/2,-z+1/2'
'x+1/2,-y+1/2,z+1/2'
loop_
_atom_site_label
_atom_site_fract_x
_atom_site_fract_y
_atom_site_fract_z
Co1 0.000 0.159 0.250
B1 0.187 0.392 0.876
O1 0.139 0.413 0.534
O2 0.145 0.153 0.979
```

Top 10 peaks for 5° ≤ 2θ ≤ 70°, in order of rising 2θ:
2θ = 18.49°, I = 393, (1 1 0)
2θ = 19.78°, I = 434, (2 0 0)
2θ = 30.37°, I = 1000, (1 1 1)
2θ = 33.87°, I = 568, (3 1 0)
2θ = 34.69°, I = 819, (3 1 -1)
2θ = 38.16°, I = 698, (0 2 1)
2θ = 41.09°, I = 379, (2 0 -2)
2θ = 45.10°, I = 360, (3 1 1)
2θ = 46.49°, I = 736, (2 2 1)
2θ = 49.18°, I = 713, (4 0 -2)

***

The following is a computed PXRD pattern of CoBO3. It was derived from a cell relaxed with GGA+U, using Cu Kα (λ = 1.5418 Å).

Structural model:
```
data_CoBO3
_chemical_formula_sum 'Co8 B8 O24'
_space_group_name_H-M_alt 'C 1 2/c 1'
_space_group_IT_number 15
_cell_length_a 5.266
_cell_length_b 8.886
_cell_length_c 9.913
_cell_angle_alpha 90.00
_cell_angle_beta 90.07
_cell_angle_gamma 90.00
loop_
_space_group_symop_operation_xyz
'x,y,z'
'-x,-y,-z'
'-x,y,-z+1/2'
'x,-y,z+1/2'
'x+1/2,y+1/2,z'
'-x+1/2,-y+1/2,-z'
'-x+1/2,y+1/2,-z+1/2'
'x+1/2,-y+1/2,z+1/2'
loop_
_atom_site_label
_atom_site_fract_x
_atom_site_fract_y
_atom_site_fract_z
Co1 0.160 0.162 0.376
B1 0.167 0.170 0.876
O1 0.074 0.195 0.574
O2 0.190 0.210 0.173
O3 0.233 0.472 0.125
```

Top 10 peaks for 5° ≤ 2θ ≤ 70°, in order of rising 2θ:
2θ = 19.60°, I = 363, (1 1 0)
2θ = 19.99°, I = 584, (0 2 0)
2θ = 21.56°, I = 745, (1 1 -1)
2θ = 21.92°, I = 434, (0 2 1)
2θ = 26.66°, I = 1000, (1 1 2)
2θ = 34.75°, I = 408, (1 3 0)
2θ = 36.25°, I = 553, (0 0 4)
2θ = 40.87°, I = 285, (2 2 1)
2θ = 41.68°, I = 190, (0 4 1)
2θ = 50.21°, I = 219, (1 1 -5)